The following is a computed X-ray diffraction stick pattern of Cs2SrSmCl6. It was derived from a structure optimized by DFT (GGA-PBE), using Cu Kα, 1.54184 Å.
Kinematic intensities with the Lorentz-polarization factor, no thermal factor.

Top 10 peaks for 2θ = 10–90°, by intensity:
2theta	I/Imax
22.32	100
31.78	59
39.18	47
45.55	41
61.61	26
51.30	22
75.47	15
56.61	14
27.43	14
71.00	12

Structural model:
abc: 7.971 11.266 7.958
angles: 90.00 90.00 90.00
Element x y z (fractional)
Cs (0.250, 0.001, 0.250)
Cs (0.250, 0.499, 0.250)
Cs (0.750, 0.501, 0.750)
Cs (0.750, 0.999, 0.750)
Sr (0.250, 0.750, 0.749)
Sr (0.750, 0.250, 0.251)
Sm (0.250, 0.250, 0.751)
Sm (0.750, 0.750, 0.249)
Cl (0.004, 0.250, 0.506)
Cl (0.005, 0.250, 0.996)
Cl (0.250, 0.005, 0.750)
Cl (0.250, 0.495, 0.750)
Cl (0.495, 0.250, 0.996)
Cl (0.496, 0.250, 0.506)
Cl (0.504, 0.750, 0.494)
Cl (0.505, 0.750, 0.004)
Cl (0.750, 0.505, 0.250)
Cl (0.750, 0.995, 0.250)
Cl (0.995, 0.750, 0.004)
Cl (0.996, 0.750, 0.494)